[1]
Simulated powder XRD pattern of KYH4C4O9 for a wavelength of 1.5418 Å, from a structure optimized by DFT (GGA-PBE).
No peak broadening, texture or thermal motion is included.

Largest 6 diffraction maxima, sorted by position, 10 to 80 degrees two-theta:
14.84°, I = 94
15.83°, I = 100
15.98°, I = 72
26.80°, I = 52
26.92°, I = 59
31.35°, I = 60

Structural model:
Cell lengths 6.753, 6.797, 6.860 Å; angles 109.88, 111.54, 100.78 degrees
Fractional coordinates of all 19 atoms:
K 0.000 0.000 0.000
Y 0.723 0.222 0.474
H 0.126 0.548 0.243
H 0.336 0.532 0.783
H 0.410 0.000 0.792
H 0.643 0.624 0.232
C 0.088 0.536 0.067
C 0.297 0.384 0.622
C 0.493 0.062 0.985
C 0.760 0.708 0.423
O 0.089 0.266 0.478
O 0.200 0.702 0.057
O 0.418 0.947 0.422
O 0.435 0.202 0.108
O 0.468 0.351 0.600
O 0.647 0.991 0.078
O 0.815 0.919 0.534
O 0.831 0.590 0.521
O 0.935 0.361 0.888


[2]
Simulated powder XRD pattern of LaH3C3O6 for a wavelength of 1.5418 Å, from a structure optimized by DFT (GGA-PBE).
No peak broadening, texture or thermal motion is included.

Largest 6 diffraction maxima, sorted by position, 10 to 80 degrees two-theta:
16.34°, I = 100
23.27°, I = 31
28.55°, I = 47
33.06°, I = 81
40.79°, I = 30
44.19°, I = 27

Structural model:
Cell lengths 6.417, 6.417, 6.417 Å; angles 115.41, 115.41, 115.41 degrees
Fractional coordinates of all 13 atoms:
La 0.000 0.000 0.000
H 0.380 0.380 0.866
H 0.380 0.866 0.380
H 0.866 0.380 0.380
C 0.154 0.613 0.613
C 0.613 0.154 0.613
C 0.613 0.613 0.154
O 0.283 0.880 0.880
O 0.334 0.591 0.591
O 0.591 0.334 0.591
O 0.591 0.591 0.334
O 0.880 0.283 0.880
O 0.880 0.880 0.283


[3]
Simulated powder XRD pattern of LiH4CN3 for a wavelength of 1.5418 Å, from a structure optimized by DFT (GGA-PBE).
No peak broadening, texture or thermal motion is included.

Largest 6 diffraction maxima, sorted by position, 10 to 80 degrees two-theta:
23.07°, I = 64
24.07°, I = 27
24.62°, I = 70
26.23°, I = 100
28.83°, I = 62
31.47°, I = 53

Structural model:
Cell lengths 7.409, 4.558, 9.120 Å; angles 90.00, 102.53, 90.00 degrees
Fractional coordinates of all 36 atoms:
Li 0.148 0.119 0.480
Li 0.148 0.381 0.980
Li 0.852 0.619 0.020
Li 0.852 0.881 0.520
H 0.086 0.566 0.247
H 0.086 0.934 0.747
H 0.311 0.631 0.492
H 0.311 0.869 0.992
H 0.417 0.090 0.349
H 0.417 0.410 0.849
H 0.432 0.116 0.117
H 0.432 0.384 0.617
H 0.568 0.616 0.383
H 0.568 0.884 0.883
H 0.583 0.590 0.151
H 0.583 0.910 0.651
H 0.689 0.131 0.008
H 0.689 0.369 0.508
H 0.914 0.066 0.253
H 0.914 0.434 0.753
C 0.245 0.634 0.698
C 0.245 0.866 0.198
C 0.755 0.134 0.802
C 0.755 0.366 0.302
N 0.115 0.663 0.153
N 0.115 0.837 0.653
N 0.308 0.010 0.081
N 0.308 0.490 0.581
N 0.313 0.560 0.842
N 0.313 0.940 0.342
N 0.687 0.060 0.658
N 0.687 0.440 0.158
N 0.692 0.510 0.419
N 0.692 0.990 0.919
N 0.885 0.163 0.347
N 0.885 0.337 0.847


[4]
Simulated powder XRD pattern of Na5LuH4C4O14 for a wavelength of 1.5418 Å, from a structure optimized by DFT (GGA-PBE).
No peak broadening, texture or thermal motion is included.

Largest 6 diffraction maxima, sorted by position, 10 to 80 degrees two-theta:
13.84°, I = 100
16.34°, I = 31
22.45°, I = 57
27.11°, I = 26
30.27°, I = 23
48.94°, I = 30

Structural model:
Cell lengths 7.671, 7.671, 11.594 Å; angles 90.00, 90.00, 90.00 degrees
Fractional coordinates of all 56 atoms:
Na 0.000 0.000 0.000
Na 0.177 0.320 0.790
Na 0.180 0.323 0.290
Na 0.320 0.823 0.210
Na 0.323 0.820 0.710
Na 0.500 0.500 0.500
Na 0.677 0.180 0.710
Na 0.680 0.177 0.210
Na 0.820 0.677 0.290
Na 0.823 0.680 0.790
Lu 0.000 0.000 0.500
Lu 0.500 0.500 0.000
H 0.063 0.582 0.615
H 0.082 0.563 0.115
H 0.418 0.063 0.385
H 0.437 0.082 0.885
H 0.563 0.918 0.885
H 0.582 0.937 0.385
H 0.918 0.437 0.115
H 0.937 0.418 0.615
C 0.177 0.712 0.423
C 0.212 0.677 0.923
C 0.288 0.177 0.577
C 0.323 0.212 0.077
C 0.677 0.788 0.077
C 0.712 0.823 0.577
C 0.788 0.323 0.923
C 0.823 0.288 0.423
O 0.000 0.500 0.167
O 0.000 0.500 0.667
O 0.088 0.769 0.885
O 0.094 0.820 0.354
O 0.159 0.746 0.534
O 0.180 0.094 0.646
O 0.231 0.088 0.115
O 0.246 0.659 0.034
O 0.254 0.159 0.466
O 0.269 0.588 0.385
O 0.320 0.594 0.854
O 0.341 0.246 0.966
O 0.406 0.320 0.146
O 0.412 0.269 0.615
O 0.500 0.000 0.333
O 0.500 0.000 0.833
O 0.588 0.731 0.615
O 0.594 0.680 0.146
O 0.659 0.754 0.966
O 0.680 0.406 0.854
O 0.731 0.412 0.385
O 0.746 0.841 0.466
O 0.754 0.341 0.034
O 0.769 0.912 0.115
O 0.820 0.906 0.646
O 0.841 0.254 0.534
O 0.906 0.180 0.354
O 0.912 0.231 0.885


[5]
Simulated powder XRD pattern of MgH6C2O6 for a wavelength of 1.5418 Å, from a structure optimized by DFT (GGA-PBE).
No peak broadening, texture or thermal motion is included.

Largest 6 diffraction maxima, sorted by position, 10 to 80 degrees two-theta:
18.70°, I = 88
23.60°, I = 100
26.05°, I = 39
29.25°, I = 60
31.64°, I = 55
38.74°, I = 39

Structural model:
Cell lengths 7.541, 8.725, 8.547 Å; angles 90.00, 90.00, 90.00 degrees
Fractional coordinates of all 60 atoms:
Mg 0.000 0.000 0.000
Mg 0.000 0.500 0.500
Mg 0.500 0.000 0.500
Mg 0.500 0.500 0.000
H 0.069 0.172 0.309
H 0.069 0.328 0.809
H 0.155 0.005 0.622
H 0.155 0.495 0.122
H 0.162 0.619 0.985
H 0.162 0.881 0.485
H 0.338 0.119 0.985
H 0.338 0.381 0.485
H 0.345 0.505 0.622
H 0.345 0.995 0.122
H 0.431 0.672 0.309
H 0.431 0.828 0.809
H 0.569 0.172 0.191
H 0.569 0.328 0.691
H 0.655 0.005 0.878
H 0.655 0.495 0.378
H 0.662 0.619 0.515
H 0.662 0.881 0.015
H 0.838 0.119 0.515
H 0.838 0.381 0.015
H 0.845 0.505 0.878
H 0.845 0.995 0.378
H 0.931 0.672 0.191
H 0.931 0.828 0.691
C 0.015 0.238 0.731
C 0.015 0.262 0.231
C 0.485 0.738 0.731
C 0.485 0.762 0.231
C 0.515 0.238 0.769
C 0.515 0.262 0.269
C 0.985 0.738 0.769
C 0.985 0.762 0.269
O 0.022 0.099 0.778
O 0.022 0.401 0.278
O 0.046 0.722 0.401
O 0.046 0.778 0.901
O 0.229 0.535 0.036
O 0.229 0.965 0.536
O 0.271 0.035 0.036
O 0.271 0.465 0.536
O 0.454 0.222 0.401
O 0.454 0.278 0.901
O 0.478 0.599 0.778
O 0.478 0.901 0.278
O 0.522 0.099 0.722
O 0.522 0.401 0.222
O 0.546 0.722 0.099
O 0.546 0.778 0.599
O 0.729 0.535 0.464
O 0.729 0.965 0.964
O 0.771 0.035 0.464
O 0.771 0.465 0.964
O 0.954 0.222 0.099
O 0.954 0.278 0.599
O 0.978 0.599 0.722
O 0.978 0.901 0.222


[6]
Simulated powder XRD pattern of MgH6C2O6 for a wavelength of 1.5418 Å, from a structure optimized by DFT (GGA-PBE).
No peak broadening, texture or thermal motion is included.

Largest 6 diffraction maxima, sorted by position, 10 to 80 degrees two-theta:
17.89°, I = 100
18.91°, I = 49
19.36°, I = 51
26.00°, I = 84
26.56°, I = 53
34.19°, I = 51

Structural model:
Cell lengths 8.720, 7.186, 9.478 Å; angles 90.00, 98.06, 90.00 degrees
Fractional coordinates of all 60 atoms:
Mg 0.000 0.000 0.000
Mg 0.000 0.500 0.500
Mg 0.500 0.000 0.500
Mg 0.500 0.500 0.000
H 0.032 0.152 0.278
H 0.032 0.348 0.778
H 0.168 0.028 0.614
H 0.168 0.472 0.114
H 0.198 0.100 0.236
H 0.198 0.400 0.736
H 0.268 0.608 0.460
H 0.268 0.892 0.960
H 0.293 0.109 0.997
H 0.293 0.391 0.497
H 0.428 0.708 0.723
H 0.428 0.792 0.223
H 0.572 0.208 0.777
H 0.572 0.292 0.277
H 0.707 0.609 0.503
H 0.707 0.891 0.003
H 0.732 0.108 0.040
H 0.732 0.392 0.540
H 0.802 0.600 0.264
H 0.802 0.900 0.764
H 0.832 0.528 0.886
H 0.832 0.972 0.386
H 0.968 0.652 0.222
H 0.968 0.848 0.722
C 0.174 0.613 0.068
C 0.174 0.887 0.568
C 0.465 0.224 0.227
C 0.465 0.276 0.727
C 0.535 0.724 0.273
C 0.535 0.776 0.773
C 0.826 0.113 0.432
C 0.826 0.387 0.932
O 0.062 0.722 0.080
O 0.062 0.778 0.580
O 0.086 0.109 0.198
O 0.086 0.391 0.698
O 0.222 0.018 0.941
O 0.222 0.482 0.441
O 0.291 0.652 0.007
O 0.291 0.848 0.507
O 0.401 0.106 0.300
O 0.401 0.394 0.800
O 0.414 0.230 0.599
O 0.414 0.270 0.099
O 0.586 0.730 0.901
O 0.586 0.770 0.401
O 0.599 0.606 0.200
O 0.599 0.894 0.700
O 0.709 0.152 0.493
O 0.709 0.348 0.993
O 0.778 0.518 0.559
O 0.778 0.982 0.059
O 0.914 0.609 0.302
O 0.914 0.891 0.802
O 0.938 0.222 0.420
O 0.938 0.278 0.920